Calculated powder diffraction line list of Pm5Sb4Br for Cu Kα (weighted mean of Kα1 and Kα2), from a structure optimized by DFT (PBE).

Structure:
a b c (Å): 16.086 16.086 16.086
angles (deg): 164.06 164.06 22.62
Fractional positions:
Pm  0.000  0.000  0.000
Pm  0.200  0.200  0.000
Pm  0.398  0.398  0.000
Pm  0.602  0.602  0.000
Pm  0.800  0.800  0.000
Sb  0.098  0.098  0.000
Sb  0.300  0.300  0.000
Sb  0.700  0.700  0.000
Sb  0.902  0.902  0.000
Br  0.500  0.500  0.000

Principal peaks in the range 2θ = 10–80°, low angle first:
| 2θ (°) | intensity |
| --- | --- |
| 28.3 | 100.0 |
| 40.4 | 76.1 |
| 50.1 | 27.1 |
| 58.5 | 12.7 |
| 66.3 | 34.7 |
| 73.5 | 25.5 |


Calculated powder diffraction line list of Pm3SbTeBr for Cu Kα (weighted mean of Kα1 and Kα2), from a structure optimized by DFT (PBE).

Structure:
a b c (Å): 9.221 4.297 10.333
angles (deg): 90.00 92.46 90.00
Fractional positions:
Pm  0.113  0.250  0.339
Pm  0.149  0.250  0.939
Pm  0.377  0.750  0.636
Pm  0.623  0.250  0.364
Pm  0.851  0.750  0.061
Pm  0.887  0.750  0.661
Sb  0.132  0.250  0.640
Sb  0.868  0.750  0.360
Te  0.370  0.750  0.325
Te  0.630  0.250  0.675
Br  0.368  0.750  0.926
Br  0.632  0.250  0.074

Principal peaks in the range 2θ = 10–80°, low angle first:
| 2θ (°) | intensity |
| --- | --- |
| 25.9 | 34.6 |
| 28.4 | 100.0 |
| 38.2 | 20.9 |
| 39.1 | 19.0 |
| 39.4 | 25.6 |
| 42.1 | 17.0 |


Calculated powder diffraction line list of Pm3Se3Br for Cu Kα (weighted mean of Kα1 and Kα2), from a structure optimized by DFT (PBE).

Structure:
a b c (Å): 7.795 7.795 7.795
angles (deg): 69.47 69.47 69.47
Fractional positions:
Pm  0.083  0.438  0.719
Pm  0.281  0.917  0.562
Pm  0.438  0.719  0.083
Pm  0.562  0.281  0.917
Pm  0.719  0.083  0.438
Pm  0.917  0.562  0.281
Se  0.090  0.789  0.384
Se  0.211  0.616  0.910
Se  0.384  0.090  0.789
Se  0.616  0.910  0.211
Se  0.789  0.384  0.090
Se  0.910  0.211  0.616
Br  0.328  0.328  0.328
Br  0.672  0.672  0.672

Principal peaks in the range 2θ = 10–80°, low angle first:
| 2θ (°) | intensity |
| --- | --- |
| 20.0 | 52.0 |
| 25.1 | 35.4 |
| 30.5 | 35.6 |
| 35.0 | 100.0 |
| 36.7 | 62.5 |
| 47.1 | 49.6 |


Calculated powder diffraction line list of Pm2SiBr2 for Cu Kα (weighted mean of Kα1 and Kα2), from a structure optimized by DFT (PBE).

Structure:
a b c (Å): 4.242 4.242 32.336
angles (deg): 90.00 90.00 120.00
Fractional positions:
Pm  0.000  0.000  0.115
Pm  0.000  0.000  0.885
Pm  0.333  0.667  0.551
Pm  0.333  0.667  0.782
Pm  0.667  0.333  0.218
Pm  0.667  0.333  0.449
Si  0.000  0.000  0.500
Si  0.333  0.667  0.167
Si  0.667  0.333  0.833
Br  0.000  0.000  0.273
Br  0.000  0.000  0.727
Br  0.333  0.667  0.394
Br  0.333  0.667  0.940
Br  0.667  0.333  0.060
Br  0.667  0.333  0.606

Principal peaks in the range 2θ = 10–80°, low angle first:
| 2θ (°) | intensity |
| --- | --- |
| 16.4 | 24.0 |
| 24.4 | 24.2 |
| 27.9 | 100.0 |
| 32.9 | 51.4 |
| 42.6 | 47.1 |
| 44.0 | 41.6 |